(1)
Calculated PXRD pattern of K2Gd2MgMo4O16 for Cu Kα, from a DFT-relaxed cell (GGA+U, Alexandria).
Kinematic intensities with the Lorentz-polarization factor, no thermal factor.

Peak list (8 most intense, 2θ from 10° to 90°, by angle)
(1 0 1), 2θ 14.3, intensity 100.0
(0 0 2), 2θ 26.1, intensity 75.6
(0 1 -2), 2θ 26.7, intensity 42.6
(0 2 0), 2θ 27.4, intensity 95.3
(2 0 2), 2θ 28.8, intensity 86.1
(2 2 0), 2θ 28.9, intensity 97.0
(2 0 0), 2θ 31.2, intensity 51.1
(2 2 2), 2θ 31.8, intensity 50.6

Structural model:
```
K2Gd2MgMo4O16
1.0
7.612 0.000 0.000
3.706 6.661 0.000
3.764 -1.517 6.832
K Gd Mg Mo O
2 2 1 4 16
direct
0.000 0.000 0.000
0.417 0.510 0.696
0.466 0.007 0.045
0.942 0.501 0.627
0.532 0.281 0.337
0.002 0.958 0.531
0.381 0.569 0.135
0.503 0.951 0.526
0.892 0.535 0.157
0.097 0.290 0.174
0.133 0.626 0.092
0.200 0.898 0.253
0.213 0.588 0.418
0.235 0.880 0.588
0.293 0.212 0.493
0.393 0.996 0.786
0.528 0.266 0.083
0.571 0.626 0.917
0.644 0.844 0.220
0.665 0.461 0.220
0.716 0.059 0.447
0.756 0.644 0.455
0.825 0.875 0.733
0.864 0.228 0.611
0.993 0.509 0.897
```

=====

(2)
Calculated PXRD pattern of K2Gd2MgMo4O16 for Cu Kα, from a DFT-relaxed cell (GGA+U, Alexandria).
Kinematic intensities with the Lorentz-polarization factor, no thermal factor.

Peak list (8 most intense, 2θ from 10° to 90°, by angle)
(0 1 0), 2θ 12.6, intensity 35.4
(0 1 1), 2θ 13.0, intensity 100.0
(1 1 0), 2θ 18.9, intensity 35.0
(0 1 2), 2θ 22.7, intensity 41.9
(0 0 2), 2θ 25.8, intensity 33.9
(1 -2 0), 2θ 27.4, intensity 58.4
(1 1 -1), 2θ 27.7, intensity 34.5
(-1 2 2), 2θ 31.2, intensity 37.6

Structural model:
```
K2Gd2MgMo4O16
1.0
7.036 0.000 0.000
0.196 7.991 0.000
1.844 3.681 6.905
K Gd Mg Mo O
2 2 1 4 16
direct
0.000 0.000 0.000
0.499 0.286 0.893
0.361 0.176 0.463
0.838 0.438 0.433
0.152 0.483 0.615
0.255 0.595 0.010
0.494 0.771 0.282
0.625 0.907 0.776
0.850 0.538 0.914
0.094 0.279 0.557
0.161 0.521 0.833
0.274 0.352 0.176
0.288 0.713 0.183
0.349 0.884 0.767
0.384 0.931 0.366
0.437 0.516 0.479
0.560 0.618 0.913
0.614 0.941 0.999
0.618 0.178 0.606
0.698 0.348 0.207
0.742 0.757 0.310
0.789 0.249 0.097
0.862 0.506 0.672
0.873 0.848 0.715
0.978 0.626 0.083
```